Entry 1:
# CsPm5Se8
Theoretical powder XRD pattern, Cu Kα (λ = 1.5418 Å). Input: a PBE-relaxed structure.
Peak positions follow from Bragg's law for the DFT cell and can differ from measured ones.

Structure:
abc: 11.1834 11.1834 10.3494
angles: 103.71 103.71 22.09
Positions (direct):
Cs1 0.0000 0.0000 0.0000
Pm1 0.1554 0.1554 0.4459
Pm2 0.2025 0.2025 0.8396
Pm3 0.4997 0.4997 0.5003
Pm4 0.7970 0.7970 0.1609
Pm5 0.8441 0.8441 0.5546
Se1 0.0786 0.0786 0.6453
Se2 0.2730 0.2730 0.3580
Se3 0.3298 0.3298 0.0053
Se4 0.4195 0.4195 0.6939
Se5 0.5800 0.5800 0.3065
Se6 0.6698 0.6698 0.9953
Se7 0.7265 0.7265 0.6425
Se8 0.9209 0.9209 0.3553

Peak list (10 most intense, 2θ = 15–90°, most intense first)
- 42.7 deg, rel. 100.0
- 26.9 deg, rel. 96.8
- 28.3 deg, rel. 80.9
- 38.6 deg, rel. 76.9
- 33.9 deg, rel. 75.3
- 27.0 deg, rel. 68.9
- 42.2 deg, rel. 64.9
- 32.0 deg, rel. 52.2
- 16.9 deg, rel. 43.3
- 32.4 deg, rel. 35.9

***

Entry 2:
# Pm8C4Cl3
Theoretical powder XRD pattern, Cu Kα (λ = 1.5418 Å). Input: a PBE-relaxed structure.
Peak positions follow from Bragg's law for the DFT cell and can differ from measured ones.

Structure:
abc: 7.7415 7.7415 7.6580
angles: 119.53 119.53 90.37
Positions (direct):
Pm1 0.2149 0.2149 0.9679
Pm2 0.2292 0.2292 0.4728
Pm3 0.2326 0.7674 0.0000
Pm4 0.2359 0.7641 0.5000
Pm5 0.7641 0.2359 0.5000
Pm6 0.7674 0.2326 0.0000
Pm7 0.7708 0.7708 0.5272
Pm8 0.7851 0.7851 0.0321
C1 0.0000 0.0000 0.0000
C2 0.0000 0.0000 0.5000
C3 0.0000 0.5000 0.5000
C4 0.5000 0.0000 0.5000
Cl1 0.0000 0.5000 0.0000
Cl2 0.5000 0.0000 0.0000
Cl3 0.5000 0.5000 0.0000

Peak list (10 most intense, 2θ = 15–90°, most intense first)
- 28.4 deg, rel. 100.0
- 28.1 deg, rel. 95.7
- 46.9 deg, rel. 75.6
- 32.6 deg, rel. 56.8
- 32.7 deg, rel. 56.7
- 32.8 deg, rel. 56.4
- 55.4 deg, rel. 24.8
- 47.5 deg, rel. 20.7
- 58.8 deg, rel. 20.1
- 46.6 deg, rel. 17.4